(1)
Diffraction record for AlCo3Se2ClO8. The powder diffraction line list is simulated, not measured: it uses DFT lattice parameters and positions (PBE+U) and Cu Kα (weighted mean of Kα1 and Kα2).
Neutral-atom scattering factors, no anomalous dispersion.

Unit cell a=5.8734 b=8.1871 c=9.7693 alpha=83.72 beta=80.68 gamma=88.66
Positions (direct):
Al  0.2019  0.1388  0.2306
Al  0.7981  0.8612  0.7694
Co  0.0000  0.0000  0.0000
Co  0.0000  0.0000  0.5000
Co  0.3022  0.7674  0.2459
Co  0.5000  0.0000  0.0000
Co  0.5000  0.0000  0.5000
Co  0.6978  0.2326  0.7541
Se  0.2105  0.6292  0.5797
Se  0.2875  0.6501  0.9171
Se  0.7125  0.3499  0.0829
Se  0.7895  0.3708  0.4203
Cl  0.2938  0.1699  0.8050
Cl  0.7062  0.8301  0.1950
O  0.0294  0.2297  0.3793
O  0.0536  0.7854  0.8946
O  0.1913  0.6141  0.4089
O  0.2113  0.9631  0.1300
O  0.2665  0.6122  0.0919
O  0.2785  0.9842  0.3721
O  0.4343  0.7576  0.5802
O  0.4725  0.2114  0.1175
O  0.5275  0.7886  0.8825
O  0.5657  0.2424  0.4198
O  0.7215  0.0158  0.6279
O  0.7335  0.3878  0.9081
O  0.7887  0.0369  0.8700
O  0.8087  0.3859  0.5911
O  0.9464  0.2146  0.1054
O  0.9706  0.7703  0.6207

Principal peaks in the range 2θ from 15° to 90°, by angle:
| h k l | d_spacing | Position (°2θ) | intensity |
| --- | --- | --- | --- |
| 1 1 0 | 4.734 | 18.7 | 87 |
| 1 -1 0 | 4.708 | 18.8 | 100 |
| 1 -2 0 | 3.321 | 26.8 | 91 |
| 0 1 3 | 3.088 | 28.9 | 70 |
| 1 0 3 | 3.008 | 29.7 | 59 |
| 0 3 2 | 2.477 | 36.3 | 54 |


(2)
Diffraction record for MgMn6O7F5. The powder diffraction line list is simulated, not measured: it uses DFT lattice parameters and positions (PBE+U) and Cu Kα (weighted mean of Kα1 and Kα2).
Neutral-atom scattering factors, no anomalous dispersion.

Unit cell a=5.2052 b=6.0785 c=8.0310 alpha=78.38 beta=81.82 gamma=80.06
Positions (direct):
Mg  0.0000  0.0000  0.0000
Mn  0.0198  0.1547  0.3559
Mn  0.0268  0.7855  0.6489
Mn  0.0970  0.4839  0.0270
Mn  0.4835  0.2789  0.6682
Mn  0.4884  0.9565  0.9953
Mn  0.4949  0.6213  0.3219
O  0.1946  0.1658  0.1180
O  0.2060  0.8455  0.4303
O  0.2123  0.4977  0.7700
O  0.2954  0.7165  0.0910
O  0.3075  0.0276  0.8015
O  0.8035  0.0749  0.5737
O  0.8364  0.4378  0.2306
F  0.3082  0.3331  0.4340
F  0.6647  0.5398  0.5570
F  0.7029  0.2102  0.9058
F  0.7116  0.9105  0.1855
F  0.8531  0.7740  0.8941

Principal peaks in the range 2θ from 15° to 90°, by angle:
| h k l | d_spacing | Position (°2θ) | intensity |
| --- | --- | --- | --- |
| 1 1 1 | 4.071 | 21.8 | 100 |
| -1 1 1 | 3.309 | 26.9 | 62 |
| 0 2 -1 | 2.605 | 34.4 | 50 |
| 0 2 2 | 2.586 | 34.7 | 26 |
| 2 -2 1 | 1.741 | 52.6 | 19 |
| 0 4 1 | 1.497 | 62.0 | 18 |